LaZrMo4: computed XRD peak list (Cu Ka), based on a PBE-relaxed structure.
Intensities are scaled so that the largest is 100.

Structure:
```
data_LaZrMo4
_chemical_formula_sum 'La1 Zr1 Mo4'
_cell_length_a 5.504
_cell_length_b 5.504
_cell_length_c 5.504
_cell_angle_alpha 60.00
_cell_angle_beta 60.00
_cell_angle_gamma 60.00
_symmetry_space_group_name_H-M 'P 1'
_symmetry_Int_Tables_number 1
_symmetry_space_group_name_Hall 'P 1'
loop_
_atom_site_label
_atom_site_type_symbol
_atom_site_fract_x
_atom_site_fract_y
_atom_site_fract_z
La1 La 0.000 0.000 0.000
Zr1 Zr 0.250 0.250 0.250
Mo1 Mo 0.125 0.625 0.625
Mo2 Mo 0.625 0.125 0.625
Mo3 Mo 0.625 0.625 0.125
Mo4 Mo 0.625 0.625 0.625
```

Peak list (10 most intense, 10° ≤ 2θ ≤ 90°, in order of falling intensity)
| two_theta | d/Å | Rel. int. |
| --- | --- | --- |
| 38.4 | 2.347 | 100 |
| 40.1 | 2.247 | 35 |
| 32.5 | 2.752 | 32 |
| 61.9 | 1.498 | 32 |
| 68.1 | 1.376 | 26 |
| 82.1 | 1.174 | 13 |
| 58.0 | 1.589 | 12 |
| 81.0 | 1.187 | 11 |
| 77.6 | 1.231 | 5 |
| 19.8 | 4.494 | 3 |

Sr3Rh2O7: computed XRD peak list (Cu Ka), based on a PBE-relaxed structure.
Intensities are scaled so that the largest is 100.

Structure:
```
data_Sr3Rh2O7
_chemical_formula_sum 'Sr3 Rh2 O7'
_cell_length_a 10.673
_cell_length_b 10.673
_cell_length_c 10.673
_cell_angle_alpha 158.44
_cell_angle_beta 158.44
_cell_angle_gamma 30.67
_symmetry_space_group_name_H-M 'P 1'
_symmetry_Int_Tables_number 1
_symmetry_space_group_name_Hall 'P 1'
loop_
_atom_site_label
_atom_site_type_symbol
_atom_site_fract_x
_atom_site_fract_y
_atom_site_fract_z
Sr1 Sr 0.000 0.000 0.000
Sr2 Sr 0.184 0.184 0.000
Sr3 Sr 0.816 0.816 0.000
Rh1 Rh 0.401 0.401 0.000
Rh2 Rh 0.599 0.599 0.000
O1 O 0.097 0.597 0.500
O2 O 0.303 0.303 0.000
O3 O 0.403 0.903 0.500
O4 O 0.500 0.500 0.000
O5 O 0.597 0.097 0.500
O6 O 0.697 0.697 0.000
O7 O 0.903 0.403 0.500
```

Peak list (10 most intense, 10° ≤ 2θ ≤ 90°, in order of falling intensity)
| two_theta | d/Å | Rel. int. |
| --- | --- | --- |
| 31.2 | 2.866 | 100 |
| 31.7 | 2.823 | 63 |
| 56.2 | 1.638 | 39 |
| 45.4 | 1.996 | 37 |
| 55.2 | 1.663 | 17 |
| 65.1 | 1.433 | 17 |
| 44.0 | 2.059 | 15 |
| 17.2 | 5.146 | 11 |
| 66.2 | 1.411 | 11 |
| 75.3 | 1.262 | 10 |

LaY3Pt8: computed XRD peak list (Cu Ka), based on a PBE-relaxed structure.
Intensities are scaled so that the largest is 100.

Structure:
```
data_LaY3Pt8
_chemical_formula_sum 'La1 Y3 Pt8'
_cell_length_a 5.485
_cell_length_b 5.485
_cell_length_c 8.966
_cell_angle_alpha 90.00
_cell_angle_beta 90.00
_cell_angle_gamma 120.00
_symmetry_space_group_name_H-M 'P 1'
_symmetry_Int_Tables_number 1
_symmetry_space_group_name_Hall 'P 1'
loop_
_atom_site_label
_atom_site_type_symbol
_atom_site_fract_x
_atom_site_fract_y
_atom_site_fract_z
La1 La 0.000 0.000 0.000
Y1 Y 0.000 0.000 0.374
Y2 Y 0.667 0.333 0.494
Y3 Y 0.667 0.333 0.860
Pt1 Pt 0.165 0.330 0.680
Pt2 Pt 0.165 0.835 0.680
Pt3 Pt 0.333 0.667 0.431
Pt4 Pt 0.333 0.667 0.932
Pt5 Pt 0.503 0.005 0.185
Pt6 Pt 0.503 0.497 0.185
Pt7 Pt 0.670 0.835 0.680
Pt8 Pt 0.995 0.497 0.185
```

Peak list (10 most intense, 10° ≤ 2θ ≤ 90°, in order of falling intensity)
| two_theta | d/Å | Rel. int. |
| --- | --- | --- |
| 39.2 | 2.296 | 100 |
| 38.5 | 2.339 | 89 |
| 35.5 | 2.530 | 46 |
| 43.1 | 2.099 | 40 |
| 18.7 | 4.750 | 30 |
| 65.2 | 1.431 | 30 |
| 68.4 | 1.371 | 29 |
| 40.2 | 2.241 | 27 |
| 62.2 | 1.493 | 26 |
| 82.5 | 1.170 | 21 |

PmNd5Tm: computed XRD peak list (Cu Ka), based on a PBE-relaxed structure.
Intensities are scaled so that the largest is 100.

Structure:
```
data_PmNd5Tm
_chemical_formula_sum 'Pm2 Nd10 Tm2'
_cell_length_a 6.643
_cell_length_b 6.643
_cell_length_c 11.791
_cell_angle_alpha 102.94
_cell_angle_beta 102.94
_cell_angle_gamma 96.98
_symmetry_space_group_name_H-M 'P 1'
_symmetry_Int_Tables_number 1
_symmetry_space_group_name_Hall 'P 1'
loop_
_atom_site_label
_atom_site_type_symbol
_atom_site_fract_x
_atom_site_fract_y
_atom_site_fract_z
Pm1 Pm 0.249 0.751 0.750
Pm2 Pm 0.751 0.249 0.250
Nd1 Nd 0.053 0.186 0.663
Nd2 Nd 0.186 0.053 0.163
Nd3 Nd 0.231 0.429 0.465
Nd4 Nd 0.402 0.598 0.250
Nd5 Nd 0.429 0.231 0.965
Nd6 Nd 0.571 0.769 0.035
Nd7 Nd 0.598 0.402 0.750
Nd8 Nd 0.769 0.571 0.535
Nd9 Nd 0.814 0.947 0.837
Nd10 Nd 0.947 0.814 0.337
Tm1 Tm 0.000 0.500 0.000
Tm2 Tm 0.500 0.000 0.500
```

Peak list (10 most intense, 10° ≤ 2θ ≤ 90°, in order of falling intensity)
| two_theta | d/Å | Rel. int. |
| --- | --- | --- |
| 31.1 | 2.875 | 100 |
| 32.0 | 2.800 | 48 |
| 31.0 | 2.885 | 46 |
| 32.2 | 2.778 | 42 |
| 31.7 | 2.826 | 34 |
| 28.5 | 3.135 | 22 |
| 55.2 | 1.664 | 20 |
| 55.4 | 1.657 | 13 |
| 44.7 | 2.027 | 12 |
| 24.5 | 3.635 | 11 |

SrMg3Pb4: computed XRD peak list (Cu Ka), based on a PBE-relaxed structure.
Intensities are scaled so that the largest is 100.

Structure:
```
data_SrMg3Pb4
_chemical_formula_sum 'Sr2 Mg6 Pb8'
_cell_length_a 10.517
_cell_length_b 8.180
_cell_length_c 5.262
_cell_angle_alpha 90.00
_cell_angle_beta 90.00
_cell_angle_gamma 90.00
_symmetry_space_group_name_H-M 'P 1'
_symmetry_Int_Tables_number 1
_symmetry_space_group_name_Hall 'P 1'
loop_
_atom_site_label
_atom_site_type_symbol
_atom_site_fract_x
_atom_site_fract_y
_atom_site_fract_z
Sr1 Sr 0.000 0.000 0.000
Sr2 Sr 0.500 0.000 0.000
Mg1 Mg 0.000 0.500 0.000
Mg2 Mg 0.250 0.000 0.498
Mg3 Mg 0.250 0.500 0.493
Mg4 Mg 0.500 0.500 0.000
Mg5 Mg 0.750 0.000 0.502
Mg6 Mg 0.750 0.500 0.507
Pb1 Pb 0.000 0.277 0.500
Pb2 Pb 0.000 0.723 0.500
Pb3 Pb 0.250 0.277 0.995
Pb4 Pb 0.250 0.723 0.995
Pb5 Pb 0.500 0.277 0.500
Pb6 Pb 0.500 0.723 0.500
Pb7 Pb 0.750 0.277 0.005
Pb8 Pb 0.750 0.723 0.005
```

Peak list (10 most intense, 10° ≤ 2θ ≤ 90°, in order of falling intensity)
| two_theta | d/Å | Rel. int. |
| --- | --- | --- |
| 32.5 | 2.752 | 100 |
| 23.9 | 3.720 | 51 |
| 34.1 | 2.630 | 49 |
| 60.0 | 1.541 | 35 |
| 21.7 | 4.090 | 28 |
| 40.8 | 2.212 | 23 |
| 49.0 | 1.860 | 18 |
| 57.0 | 1.614 | 15 |
| 54.2 | 1.693 | 10 |
| 68.2 | 1.376 | 9 |

Cs2Cd2Se: computed XRD peak list (Cu Ka), based on a PBE-relaxed structure.
Intensities are scaled so that the largest is 100.

Structure:
```
data_Cs2Cd2Se
_chemical_formula_sum 'Cs4 Cd4 Se2'
_cell_length_a 7.393
_cell_length_b 7.393
_cell_length_c 8.673
_cell_angle_alpha 90.00
_cell_angle_beta 90.00
_cell_angle_gamma 90.00
_symmetry_space_group_name_H-M 'P 1'
_symmetry_Int_Tables_number 1
_symmetry_space_group_name_Hall 'P 1'
loop_
_atom_site_label
_atom_site_type_symbol
_atom_site_fract_x
_atom_site_fract_y
_atom_site_fract_z
Cs1 Cs 0.000 0.500 0.250
Cs2 Cs 0.000 0.500 0.750
Cs3 Cs 0.500 0.000 0.250
Cs4 Cs 0.500 0.000 0.750
Cd1 Cd 0.000 0.000 0.175
Cd2 Cd 0.000 0.000 0.825
Cd3 Cd 0.500 0.500 0.325
Cd4 Cd 0.500 0.500 0.675
Se1 Se 0.000 0.000 0.500
Se2 Se 0.500 0.500 0.000
```

Peak list (10 most intense, 10° ≤ 2θ ≤ 90°, in order of falling intensity)
| two_theta | d/Å | Rel. int. |
| --- | --- | --- |
| 24.1 | 3.696 | 100 |
| 34.3 | 2.614 | 40 |
| 31.8 | 2.813 | 30 |
| 41.5 | 2.176 | 27 |
| 33.3 | 2.692 | 25 |
| 20.5 | 4.336 | 23 |
| 26.7 | 3.338 | 20 |
| 55.6 | 1.653 | 19 |
| 40.3 | 2.239 | 15 |
| 49.3 | 1.848 | 14 |

SrNdCo: computed XRD peak list (Cu Ka), based on a PBE-relaxed structure.
Intensities are scaled so that the largest is 100.

Structure:
```
data_SrNdCo
_chemical_formula_sum 'Sr4 Nd4 Co4'
_cell_length_a 7.788
_cell_length_b 7.788
_cell_length_c 7.610
_cell_angle_alpha 90.00
_cell_angle_beta 90.00
_cell_angle_gamma 124.12
_symmetry_space_group_name_H-M 'P 1'
_symmetry_Int_Tables_number 1
_symmetry_space_group_name_Hall 'P 1'
loop_
_atom_site_label
_atom_site_type_symbol
_atom_site_fract_x
_atom_site_fract_y
_atom_site_fract_z
Sr1 Sr 0.203 0.797 0.887
Sr2 Sr 0.297 0.703 0.387
Sr3 Sr 0.703 0.297 0.613
Sr4 Sr 0.797 0.203 0.113
Nd1 Nd 0.216 0.284 0.750
Nd2 Nd 0.284 0.216 0.250
Nd3 Nd 0.716 0.784 0.750
Nd4 Nd 0.784 0.716 0.250
Co1 Co 0.079 0.921 0.533
Co2 Co 0.421 0.579 0.033
Co3 Co 0.579 0.421 0.967
Co4 Co 0.921 0.079 0.467
```

Peak list (10 most intense, 10° ≤ 2θ ≤ 90°, in order of falling intensity)
| two_theta | d/Å | Rel. int. |
| --- | --- | --- |
| 27.7 | 3.224 | 100 |
| 34.0 | 2.634 | 92 |
| 12.9 | 6.880 | 89 |
| 36.5 | 2.460 | 76 |
| 28.5 | 3.135 | 72 |
| 30.1 | 2.968 | 58 |
| 48.4 | 1.881 | 57 |
| 26.8 | 3.330 | 46 |
| 36.8 | 2.439 | 42 |
| 37.8 | 2.379 | 39 |

Nd3Sm3Ho8: computed XRD peak list (Cu Ka), based on a PBE-relaxed structure.
Intensities are scaled so that the largest is 100.

Structure:
```
data_Nd3Sm3Ho8
_chemical_formula_sum 'Nd3 Sm3 Ho8'
_cell_length_a 9.726
_cell_length_b 9.726
_cell_length_c 9.726
_cell_angle_alpha 146.08
_cell_angle_beta 112.79
_cell_angle_gamma 77.45
_symmetry_space_group_name_H-M 'P 1'
_symmetry_Int_Tables_number 1
_symmetry_space_group_name_Hall 'P 1'
loop_
_atom_site_label
_atom_site_type_symbol
_atom_site_fract_x
_atom_site_fract_y
_atom_site_fract_z
Nd1 Nd 0.000 0.000 0.000
Nd2 Nd 0.186 0.686 0.500
Nd3 Nd 0.814 0.314 0.500
Sm1 Sm 0.200 0.500 0.700
Sm2 Sm 0.500 0.500 0.000
Sm3 Sm 0.800 0.500 0.300
Ho1 Ho 0.119 0.280 0.839
Ho2 Ho 0.238 0.897 0.341
Ho3 Ho 0.441 0.280 0.161
Ho4 Ho 0.443 0.103 0.341
Ho5 Ho 0.557 0.897 0.659
Ho6 Ho 0.559 0.720 0.839
Ho7 Ho 0.762 0.103 0.659
Ho8 Ho 0.881 0.720 0.161
```

Peak list (10 most intense, 10° ≤ 2θ ≤ 90°, in order of falling intensity)
| two_theta | d/Å | Rel. int. |
| --- | --- | --- |
| 31.8 | 2.816 | 100 |
| 33.5 | 2.676 | 57 |
| 31.5 | 2.837 | 53 |
| 30.5 | 2.926 | 33 |
| 29.5 | 3.027 | 32 |
| 44.5 | 2.037 | 24 |
| 56.3 | 1.634 | 20 |
| 61.1 | 1.517 | 17 |
| 62.3 | 1.490 | 14 |
| 37.5 | 2.399 | 13 |